Starting from a structure optimized by DFT (GGA+U), the powder XRD pattern of NpTl2CrO6 was calculated for Cu Kα (weighted mean of Kα1 and Kα2).
Peak positions follow from Bragg's law for the DFT cell and can differ from measured ones.

Largest 10 diffraction maxima, sorted by position, 2θ = 10–90°:
18.6°, I 16
30.7°, I 100
36.1°, I 10
43.9°, I 27
48.1°, I 5
54.5°, I 41
63.9°, I 17
72.5°, I 18
80.8°, I 6
88.8°, I 22

Cell and atoms:
a = 5.828 Å, b = 5.828 Å, c = 5.828 Å
α = 119.97°, β = 119.97°, γ = 90.05°
Positions (direct):
Np (0.000, 0.000, 0.000)
Tl (0.250, 0.750, 0.500)
Tl (0.750, 0.250, 0.500)
Cr (0.500, 0.500, 0.000)
O (0.251, 0.251, 0.000)
O (0.251, 0.251, 0.503)
O (0.251, 0.749, 0.000)
O (0.749, 0.251, 0.000)
O (0.749, 0.749, 0.000)
O (0.749, 0.749, 0.497)